This entry pairs a crystal structure of YTh3Bi6 with its theoretical powder X-ray diffraction pattern. Radiation: Cu Kα (λ = 1.5418 Å). Structure: DFT lattice parameters and positions (GGA-PBE).
Kinematic intensities with the Lorentz-polarization factor, no thermal factor.

The 6 most intense peaks (10 to 90 degrees two-theta), most intense first:
| 2θ (°) | I (rel.) |
| --- | --- |
| 32.15 | 100 |
| 33.14 | 79 |
| 31.46 | 61 |
| 28.16 | 50 |
| 54.93 | 40 |
| 16.40 | 40 |

Cell and atoms:
Lattice parameters (Å, degrees): 6.6861 6.6861 30.1904 90.00 90.00 120.00
Space group R-3m (No. 166, hexagonal axes)
Asymmetric unit:
Y 0.0000 0.0000 0.0000
Th 0.0000 0.0000 0.1797
Th 0.0000 0.0000 0.5000
Bi 0.0059 0.5029 0.7499